Record 1
The following is a calculated X-ray diffraction stick pattern of Li3V3P4O16. It was derived from a cell relaxed with GGA+U, using CuKα.

Structure:
Cell: 8.5921 9.0681 9.2322 Å, 104.63 115.36 101.76°
Fractional coordinates of all 52 atoms:
Li  0.1080  0.3042  0.1410
Li  0.2933  0.5388  0.9964
Li  0.3138  0.1746  0.0304
Li  0.6862  0.8254  0.9696
Li  0.7067  0.4612  0.0036
Li  0.8920  0.6958  0.8590
V  0.1431  0.1881  0.6158
V  0.2090  0.7389  0.7766
V  0.4982  0.1938  0.4941
V  0.5018  0.8062  0.5059
V  0.7910  0.2611  0.2234
V  0.8569  0.8119  0.3842
P  0.0529  0.0222  0.2273
P  0.0634  0.6303  0.3325
P  0.4487  0.5287  0.6926
P  0.4848  0.0751  0.8069
P  0.5152  0.9249  0.1931
P  0.5513  0.4713  0.3074
P  0.9366  0.3697  0.6675
P  0.9471  0.9778  0.7727
O  0.0168  0.4442  0.2679
O  0.0483  0.1329  0.9305
O  0.0532  0.8597  0.8048
O  0.0619  0.9983  0.3970
O  0.0732  0.7096  0.5113
O  0.1081  0.3389  0.7901
O  0.2340  0.7131  0.3266
O  0.2544  0.1073  0.2784
O  0.3270  0.1395  0.8010
O  0.3313  0.7894  0.0452
O  0.3369  0.5802  0.7799
O  0.3512  0.4196  0.1612
O  0.3639  0.3346  0.6046
O  0.4294  0.6104  0.5632
O  0.4522  0.9111  0.8315
O  0.4728  0.0372  0.6259
O  0.5272  0.9628  0.3741
O  0.5478  0.0889  0.1685
O  0.5706  0.3896  0.4368
O  0.6361  0.6654  0.3954
O  0.6488  0.5804  0.8388
O  0.6631  0.4198  0.2201
O  0.6687  0.2106  0.9548
O  0.6730  0.8605  0.1990
O  0.7456  0.8927  0.7216
O  0.7660  0.2869  0.6734
O  0.8919  0.6611  0.2099
O  0.9268  0.2904  0.4887
O  0.9381  0.0017  0.6030
O  0.9468  0.1403  0.1952
O  0.9517  0.8671  0.0695
O  0.9832  0.5558  0.7321

The 10 most intense peaks (2θ = 10–90°), low angle first:
2θ (°)  intensity  h k l
10.79  32  0 1 0
11.49  100  0 0 1
11.78  31  1 0 -1
23.08  47  0 0 2
24.55  35  2 0 0
24.70  49  1 2 -1
26.16  31  -2 1 2
26.37  40  2 -2 0
30.53  43  1 -3 0
32.23  45  2 2 -2



Record 2
The following is a calculated X-ray diffraction stick pattern of LiV2P5O16. It was derived from a cell relaxed with GGA+U, using CuKα.

Structure:
Cell: 7.6417 9.6165 10.3952 Å, 90.00 111.43 90.00°
Fractional coordinates of all 48 atoms:
Li  0.0000  0.1232  0.0000
Li  0.0000  0.8768  0.5000
V  0.4867  0.3593  0.2387
V  0.4867  0.6407  0.7387
V  0.9341  0.1353  0.6331
V  0.9341  0.8647  0.1331
P  0.2553  0.3590  0.6460
P  0.2553  0.6410  0.1460
P  0.2926  0.2047  0.9019
P  0.2926  0.7953  0.4019
P  0.3487  0.0449  0.2665
P  0.3487  0.9551  0.7665
P  0.5875  0.3793  0.5725
P  0.5875  0.6207  0.0725
P  0.7369  0.0829  0.2900
P  0.7369  0.9171  0.7900
O  0.0673  0.2895  0.5779
O  0.0673  0.7105  0.0779
O  0.0782  0.1929  0.8456
O  0.0782  0.8071  0.3456
O  0.1718  0.0059  0.6500
O  0.1718  0.9941  0.1500
O  0.2542  0.4860  0.1659
O  0.2542  0.5140  0.6659
O  0.3507  0.1959  0.3019
O  0.3507  0.8041  0.8019
O  0.3625  0.2875  0.7973
O  0.3625  0.7125  0.2973
O  0.3759  0.0497  0.9015
O  0.3759  0.9503  0.4015
O  0.3783  0.2612  0.0439
O  0.3783  0.7388  0.5439
O  0.3842  0.3124  0.5650
O  0.3842  0.6876  0.0650
O  0.5290  0.0053  0.2313
O  0.5290  0.9947  0.7313
O  0.5541  0.4349  0.4279
O  0.5541  0.5651  0.9279
O  0.6344  0.4924  0.6816
O  0.6344  0.5076  0.1816
O  0.7096  0.2388  0.2812
O  0.7096  0.7612  0.7812
O  0.7199  0.2546  0.6127
O  0.7199  0.7454  0.1127
O  0.8305  0.0307  0.1930
O  0.8305  0.9693  0.6930
O  0.8345  0.0334  0.4396
O  0.8345  0.9666  0.9396

The 10 most intense peaks (2θ = 10–90°), low angle first:
2θ (°)  intensity  h k l
12.44  42  1 0 0
12.98  20  0 1 1
15.51  100  1 1 -1
18.34  26  0 0 2
20.57  16  0 1 2
22.33  14  1 2 -1
26.73  16  2 1 0
29.20  24  0 1 3
29.87  20  2 2 -1
35.29  11  2 2 -3



Record 3
The following is a calculated X-ray diffraction stick pattern of Li2VP2O8. It was derived from a cell relaxed with GGA+U, using CuKα.

Structure:
Cell: 8.4379 8.4379 7.3512 Å, 90.00 90.00 120.00°
Fractional coordinates of all 39 atoms:
Li  0.0421  0.6949  0.3681
Li  0.3051  0.3472  0.3681
Li  0.3472  0.0421  0.6319
Li  0.6528  0.9579  0.3681
Li  0.6949  0.6528  0.6319
Li  0.9579  0.3051  0.6319
V  0.0000  0.0000  0.0000
V  0.3333  0.6667  0.0793
V  0.6667  0.3333  0.9207
P  0.0387  0.6892  0.7809
P  0.3108  0.3496  0.7809
P  0.3496  0.0387  0.2191
P  0.6504  0.9613  0.7809
P  0.6892  0.6504  0.2191
P  0.9613  0.3108  0.2191
O  0.0636  0.2071  0.1621
O  0.1170  0.5137  0.2503
O  0.1435  0.9364  0.1621
O  0.1505  0.7743  0.6101
O  0.1614  0.6954  0.9410
O  0.2071  0.1435  0.8379
O  0.2257  0.3761  0.6101
O  0.3046  0.4660  0.9410
O  0.3761  0.1505  0.3899
O  0.3967  0.8830  0.2503
O  0.4660  0.1614  0.0590
O  0.4863  0.6033  0.2503
O  0.5137  0.3967  0.7497
O  0.5340  0.8386  0.9410
O  0.6033  0.1170  0.7497
O  0.6239  0.8495  0.6101
O  0.6954  0.5340  0.0590
O  0.7743  0.6239  0.3899
O  0.7929  0.8565  0.1621
O  0.8386  0.3046  0.0590
O  0.8495  0.2257  0.3899
O  0.8565  0.0636  0.8379
O  0.8830  0.4863  0.7497
O  0.9364  0.7929  0.8379

The 10 most intense peaks (2θ = 10–90°), low angle first:
2θ (°)  intensity  h k l
12.04  63  0 0 1
24.32  100  2 -1 1
27.23  17  2 0 1
32.30  27  2 -1 2
32.42  9  2 1 0
36.90  9  3 0 0
38.95  15  0 3 1
40.87  15  3 -2 2
49.78  17  3 -2 3
63.58  9  5 -4 2